Diffraction record for RbGe3Pt3. The X-ray powder pattern is theoretical, not measured: it uses a DFT-relaxed cell (PBE, Alexandria) and CuKα.

The 8 most intense peaks (2θ from 10° to 90°), sorted by position:
Position (°2θ), I_rel
10.9, 77
14.0, 100
22.7, 48
26.3, 59
29.7, 55
33.7, 47
42.4, 57
43.2, 50

Structure:
```
data_RbGe3Pt3
_space_group_name_H-M_alt 'P 1'
_space_group_IT_number 1
_space_group_name_Hall 'P 1'
_cell_length_a 8.447
_cell_length_b 8.579
_cell_length_c 9.802
_cell_angle_alpha 67.67
_cell_angle_beta 77.83
_cell_angle_gamma 76.80
loop_
_atom_site_label
_atom_site_fract_x
_atom_site_fract_y
_atom_site_fract_z
_atom_site_occupancy
Rb1 0.000 0.000 0.000 1
Rb2 0.022 0.548 0.362 1
Rb3 0.270 0.758 0.765 1
Rb4 0.347 0.135 0.499 1
Ge1 0.048 0.937 0.452 1
Ge2 0.267 0.073 0.192 1
Ge3 0.359 0.489 0.570 1
Ge4 0.362 0.250 0.875 1
Ge5 0.418 0.590 0.095 1
Ge6 0.622 0.769 0.321 1
Ge7 0.655 0.006 0.894 1
Ge8 0.682 0.296 0.174 1
Ge9 0.764 0.223 0.457 1
Ge10 0.782 0.747 0.644 1
Ge11 0.820 0.422 0.746 1
Ge12 0.954 0.481 0.986 1
Pt1 0.112 0.411 0.758 1
Pt2 0.239 0.395 0.075 1
Pt3 0.316 0.774 0.374 1
Pt4 0.397 0.903 0.029 1
Pt5 0.550 0.483 0.330 1
Pt6 0.566 0.409 0.926 1
Pt7 0.581 0.062 0.143 1
Pt8 0.617 0.302 0.672 1
Pt9 0.689 0.699 0.917 1
Pt10 0.760 0.952 0.386 1
Pt11 0.869 0.985 0.680 1
Pt12 0.975 0.225 0.236 1
```